# 1
Theoretical powder X-ray diffraction pattern
Compound: PrPuCu2As4
Radiation: λ = 1.5418 Å (Cu Kα)
Structure: the GGA-PBE geometry in OQMD
Intensities are scaled so that the largest is 100.

The 10 most intense peaks (10° ≤ 2θ ≤ 90°), by angle:
h k l, 2theta, I_rel
1 0 1, 24.24, 33
1 0 2, 29.01, 16
1 0 3, 35.67, 30
0 0 4, 36.76, 15
1 1 2, 36.98, 100
2 0 0, 45.81, 35
1 0 5, 52.15, 16
2 1 3, 59.37, 14
2 0 4, 60.12, 14
3 1 2, 78.88, 22

Structural model:
```
data_PrPuCu2As4
_cell_length_a 3.9614
_cell_length_b 3.9614
_cell_length_c 9.7801
_cell_angle_alpha 90.00
_cell_angle_beta 90.00
_cell_angle_gamma 90.00
_symmetry_space_group_name_H-M 'P 4 m m'
_symmetry_Int_Tables_number 99
loop_
_symmetry_equiv_pos_as_xyz
'x,y,z'
'-y,x,z'
'-x,-y,z'
'y,-x,z'
'-x,y,z'
'y,x,z'
'x,-y,z'
'-y,-x,z'
loop_
_atom_site_label
_atom_site_type_symbol
_atom_site_fract_x
_atom_site_fract_y
_atom_site_fract_z
Pr1 Pr 0.0000 0.0000 0.0000
Pu1 Pu 0.5000 0.5000 0.4714
Cu1 Cu 0.0000 0.5000 0.7223
As1 As 0.0000 0.0000 0.5523
As2 As 0.0000 0.5000 0.2473
As3 As 0.5000 0.5000 0.8756
```

---

# 2
Theoretical powder X-ray diffraction pattern
Compound: NdAl3Br12
Radiation: λ = 1.5418 Å (Cu Kα)
Structure: the GGA-PBE geometry in OQMD
Intensities are scaled so that the largest is 100.

The 10 most intense peaks (10° ≤ 2θ ≤ 90°), by angle:
h k l, 2theta, I_rel
0 1 1, 10.69, 100
1 0 5, 25.59, 37
2 1 1, 26.00, 36
0 2 4, 27.11, 33
1 2 2, 27.30, 37
1 2 3, 29.33, 35
0 3 2, 30.61, 34
1 2 4, 31.99, 31
3 0 4, 34.88, 34
2 2 2, 35.06, 34

Structural model:
```
data_NdAl3Br12
_cell_length_a 10.6470
_cell_length_b 10.6470
_cell_length_c 18.7726
_cell_angle_alpha 90.00
_cell_angle_beta 90.00
_cell_angle_gamma 120.00
_symmetry_space_group_name_H-M 'P 31 2 1'
_symmetry_Int_Tables_number 152
loop_
_symmetry_equiv_pos_as_xyz
'x,y,z'
'-y,x-y,z+1/3'
'-x+y,-x,z+2/3'
'y,x,-z'
'x-y,-y,-z+2/3'
'-x,-x+y,-z+1/3'
loop_
_atom_site_label
_atom_site_type_symbol
_atom_site_fract_x
_atom_site_fract_y
_atom_site_fract_z
Nd1 Nd 0.0000 0.7334 0.1667
Al1 Al 0.0000 0.0973 0.6667
Al2 Al 0.3023 0.6370 0.2226
Br1 Br 0.0313 0.2340 0.7692
Br2 Br 0.0703 0.1965 0.3651
Br3 Br 0.0791 0.5894 0.2787
Br4 Br 0.1415 0.7155 0.8516
Br5 Br 0.2183 0.7124 0.6266
Br6 Br 0.2283 0.5196 0.4571
```

---

# 3
Theoretical powder X-ray diffraction pattern
Compound: Ta8Au2C3N3
Radiation: λ = 1.5418 Å (Cu Kα)
Structure: the GGA-PBE geometry in OQMD
Intensities are scaled so that the largest is 100.

The 10 most intense peaks (10° ≤ 2θ ≤ 90°), by angle:
h k l, 2theta, I_rel
1 0 1, 32.94, 41
1 0 4, 36.08, 60
0 0 10, 37.58, 46
0 1 5, 37.86, 94
1 0 6, 39.95, 100
1 0 11, 53.82, 23
1 1 0, 58.40, 51
1 1 10, 71.55, 44
1 0 16, 71.93, 20
0 2 6, 73.10, 17

Structural model:
```
data_Ta8Au2C3N3
_cell_length_a 3.1607
_cell_length_b 3.1607
_cell_length_c 23.9335
_cell_angle_alpha 90.00
_cell_angle_beta 90.00
_cell_angle_gamma 120.00
_symmetry_space_group_name_H-M 'P -3 m 1'
_symmetry_Int_Tables_number 164
_symmetry_space_group_name_Hall '-P 3 2"'
loop_
_atom_site_label
_atom_site_type_symbol
_atom_site_fract_x
_atom_site_fract_y
_atom_site_fract_z
Ta1 Ta 0.0000 0.0000 0.1528
Ta2 Ta 0.0000 0.0000 0.3414
Ta3 Ta 0.3333 0.6667 0.5556
Ta4 Ta 0.3333 0.6667 0.9432
Au1 Au 0.3333 0.6667 0.7539
C1 C 0.0000 0.0000 0.5000
C2 C 0.3333 0.6667 0.3905
N1 N 0.0000 0.0000 0.0000
N2 N 0.3333 0.6667 0.1075
```

---

# 4
Theoretical powder X-ray diffraction pattern
Compound: AgTe3PbAu
Radiation: λ = 1.5418 Å (Cu Kα)
Structure: the GGA-PBE geometry in OQMD
Intensities are scaled so that the largest is 100.

The 10 most intense peaks (10° ≤ 2θ ≤ 90°), by angle:
h k l, 2theta, I_rel
2 0 1, 17.79, 24
0 1 0, 27.97, 100
0 0 3, 29.29, 65
4 0 0, 30.07, 79
0 1 3, 40.94, 53
4 1 0, 41.53, 66
4 0 3, 42.47, 45
4 1 3, 51.62, 51
4 2 0, 66.54, 16
4 2 3, 74.30, 26

Structural model:
```
data_AgTe3PbAu
_cell_length_a 11.8890
_cell_length_b 3.1898
_cell_length_c 9.1490
_cell_angle_alpha 90.00
_cell_angle_beta 90.00
_cell_angle_gamma 90.00
_symmetry_space_group_name_H-M 'P m m a'
_symmetry_Int_Tables_number 51
loop_
_symmetry_equiv_pos_as_xyz
'x,y,z'
'-x,-y,-z'
'-x+1/2,-y,z'
'x+1/2,y,-z'
'x+1/2,-y,-z'
'-x+1/2,y,z'
'-x,y,-z'
'x,-y,z'
loop_
_atom_site_label
_atom_site_type_symbol
_atom_site_fract_x
_atom_site_fract_y
_atom_site_fract_z
Ag1 Ag 0.2500 0.0000 0.1941
Te1 Te 0.0168 0.0000 0.2059
Te2 Te 0.2500 0.0000 0.5201
Pb1 Pb 0.2500 0.0000 0.8683
Au1 Au 0.0000 0.0000 0.5000
```